Record 1
This entry pairs a crystal structure of TiF6 with its simulated X-ray diffraction stick pattern. Radiation: Cu Ka. Structure: DFT lattice parameters and positions (PBE).
Peak positions follow from Bragg's law for the DFT cell and can differ from measured ones.

Cell and atoms:
abc: 5.8193 5.8193 13.4760
angles: 93.61 93.61 122.40
Fractional positions:
Ti 0.0000 0.5000 0.0000
Ti 0.5000 0.0000 0.5000
F 0.0412 0.3371 0.8897
F 0.0555 0.1988 0.2511
F 0.1666 0.7619 0.5374
F 0.1988 0.0555 0.7511
F 0.2381 0.8334 0.9626
F 0.3371 0.0412 0.3897
F 0.6629 0.9588 0.6103
F 0.7619 0.1666 0.0374
F 0.8012 0.9445 0.2489
F 0.8334 0.2381 0.4626
F 0.9445 0.8012 0.7489
F 0.9588 0.6629 0.1103

Peak list (12 most intense, 10° ≤ 2θ ≤ 80°, in order of rising 2θ)
6.680 Å, rel. 39
5.099 Å, rel. 37
4.881 Å, rel. 31
4.764 Å, rel. 35
4.424 Å, rel. 65
4.176 Å, rel. 14
4.053 Å, rel. 100
3.354 Å, rel. 14
3.340 Å, rel. 15
2.597 Å, rel. 14
2.358 Å, rel. 20
1.769 Å, rel. 11



Record 2
This entry pairs a crystal structure of V3Cu with its simulated X-ray diffraction stick pattern. Radiation: Cu Ka. Structure: DFT lattice parameters and positions (PBE).
Peak positions follow from Bragg's law for the DFT cell and can differ from measured ones.

Cell and atoms:
abc: 4.1925 4.1925 4.1925
angles: 60.00 60.00 60.00
Fractional positions:
V 0.0000 0.0000 0.0000
V 0.2500 0.2500 0.2500
V 0.7500 0.7500 0.7500
Cu 0.5000 0.5000 0.5000

Peak list (6 most intense, 10° ≤ 2θ ≤ 80°, in order of rising 2θ)
3.423 Å, rel. 2
2.965 Å, rel. 1
2.096 Å, rel. 100
1.788 Å, rel. 1
1.482 Å, rel. 15
1.210 Å, rel. 28



Record 3
This entry pairs a crystal structure of TlCrSe2 with its simulated X-ray diffraction stick pattern. Radiation: Cu Ka. Structure: DFT lattice parameters and positions (PBE).
Peak positions follow from Bragg's law for the DFT cell and can differ from measured ones.

Cell and atoms:
abc: 9.4533 9.4533 9.4533
angles: 21.89 21.89 21.89
Fractional positions:
Tl 0.0000 0.0000 0.0000
Cr 0.5000 0.5000 0.5000
Se 0.1154 0.1154 0.1154
Se 0.8846 0.8846 0.8846

Peak list (12 most intense, 10° ≤ 2θ ≤ 80°, in order of rising 2θ)
4.612 Å, rel. 49
3.089 Å, rel. 98
3.074 Å, rel. 42
3.033 Å, rel. 100
2.443 Å, rel. 30
2.312 Å, rel. 98
2.067 Å, rel. 54
1.794 Å, rel. 49
1.672 Å, rel. 18
1.550 Å, rel. 47
1.511 Å, rel. 19
1.417 Å, rel. 25



Record 4
This entry pairs a crystal structure of RbMg3 with its simulated X-ray diffraction stick pattern. Radiation: Cu Ka. Structure: DFT lattice parameters and positions (PBE).
Peak positions follow from Bragg's law for the DFT cell and can differ from measured ones.

Cell and atoms:
abc: 8.4902 8.4902 5.1076
angles: 90.00 90.00 120.00
Fractional positions:
Rb 0.3333 0.6667 0.2500
Rb 0.6667 0.3333 0.7500
Mg 0.1235 0.2470 0.7500
Mg 0.1235 0.8765 0.7500
Mg 0.2470 0.1235 0.2500
Mg 0.7530 0.8765 0.7500
Mg 0.8765 0.1235 0.2500
Mg 0.8765 0.7530 0.2500

Peak list (12 most intense, 10° ≤ 2θ ≤ 80°, in order of rising 2θ)
4.245 Å, rel. 46
4.195 Å, rel. 63
3.676 Å, rel. 26
2.984 Å, rel. 100
2.779 Å, rel. 25
2.554 Å, rel. 18
2.188 Å, rel. 15
2.123 Å, rel. 14
1.894 Å, rel. 35
1.880 Å, rel. 16
1.632 Å, rel. 12
1.545 Å, rel. 13



Record 5
This entry pairs a crystal structure of Ba4CaCu6Hg2O16 with its simulated X-ray diffraction stick pattern. Radiation: Cu Ka. Structure: DFT lattice parameters and positions (PBE).
Peak positions follow from Bragg's law for the DFT cell and can differ from measured ones.

Cell and atoms:
abc: 3.7141 7.4364 16.8650
angles: 90.00 90.00 90.00
Fractional positions:
Ba 0.0000 0.0000 0.0000
Ba 0.0000 0.0000 0.3647
Ba 0.0000 0.5000 0.9998
Ba 0.0000 0.5000 0.3646
Ca 0.0000 0.0000 0.5850
Cu 0.5000 0.2499 0.8621
Cu 0.5000 0.2547 0.6933
Cu 0.5000 0.2633 0.4985
Cu 0.5000 0.7367 0.4985
Cu 0.5000 0.7453 0.6933
Cu 0.5000 0.7501 0.8621
Hg 0.5000 0.2499 0.1831
Hg 0.5000 0.7501 0.1831
O 0.0000 0.2341 0.4832
O 0.0000 0.2410 0.6774
O 0.0000 0.2498 0.8859
O 0.0000 0.7502 0.8859
O 0.0000 0.7590 0.6774
O 0.0000 0.7659 0.4832
O 0.5000 0.0000 0.4897
O 0.5000 0.0000 0.6705
O 0.5000 0.0000 0.8854
O 0.5000 0.2473 0.3019
O 0.5000 0.2504 0.0645
O 0.5000 0.5000 0.4711
O 0.5000 0.5000 0.6815
O 0.5000 0.5000 0.8852
O 0.5000 0.7496 0.0645
O 0.5000 0.7527 0.3019

Peak list (12 most intense, 10° ≤ 2θ ≤ 80°, in order of rising 2θ)
3.401 Å, rel. 64
3.100 Å, rel. 100
2.811 Å, rel. 31
2.788 Å, rel. 22
2.628 Å, rel. 52
2.596 Å, rel. 15
1.920 Å, rel. 30
1.858 Å, rel. 31
1.834 Å, rel. 15
1.631 Å, rel. 16
1.594 Å, rel. 28
1.550 Å, rel. 19



Record 6
This entry pairs a crystal structure of UGa with its simulated X-ray diffraction stick pattern. Radiation: Cu Ka. Structure: DFT lattice parameters and positions (PBE).
Peak positions follow from Bragg's law for the DFT cell and can differ from measured ones.

Cell and atoms:
abc: 2.9265 2.9265 5.2794
angles: 90.00 90.00 120.00
Fractional positions:
U 0.0000 0.0000 0.0000
Ga 0.3333 0.6667 0.5000

Peak list (12 most intense, 10° ≤ 2θ ≤ 80°, in order of rising 2θ)
5.279 Å, rel. 42
2.640 Å, rel. 31
2.534 Å, rel. 37
2.285 Å, rel. 100
1.828 Å, rel. 28
1.463 Å, rel. 15
1.446 Å, rel. 24
1.410 Å, rel. 8
1.320 Å, rel. 4
1.280 Å, rel. 20
1.267 Å, rel. 5
1.232 Å, rel. 15